Record 1
Calculated X-ray diffraction stick pattern of Er2GaSn3 for Cu Kα, from a cell relaxed with PBE.
No peak broadening, texture or thermal motion is included.

Most intense lines, 10 to 90 degrees two-theta, by angle:
Position (°2θ)	I (rel.)	hkl
27.8	100	3 1 1
32.9	19	1 1 2
34.3	32	1 3 1
36.7	76	3 3 0
38.7	22	3 1 2
39.3	23	2 2 2
42.6	29	6 0 0
46.7	17	4 2 2
52.6	17	3 1 3
64.7	20	3 5 2

Atomic structure:
```
data_Er2GaSn3
_chemical_formula_sum 'Er8 Ga4 Sn12'
_cell_length_a 12.7420
_cell_length_b 8.9900
_cell_length_c 5.8605
_cell_angle_alpha 90.00
_cell_angle_beta 90.00
_cell_angle_gamma 90.00
_symmetry_space_group_name_H-M 'C m c m'
_symmetry_Int_Tables_number 63
_symmetry_space_group_name_Hall '-C 2c 2'
loop_
_atom_site_label
_atom_site_fract_x
_atom_site_fract_y
_atom_site_fract_z
_atom_site_occupancy
Er1 0.1442 0.1955 0.2500 1
Ga1 0.0000 0.3894 0.7500 1
Sn1 0.0000 0.0858 0.7500 1
Sn2 0.1851 0.5000 0.0000 1
```

***

Record 2
Calculated X-ray diffraction stick pattern of Tb2Er2Ga4Sn for Cu Kα, from a cell relaxed with PBE.
No peak broadening, texture or thermal motion is included.

Most intense lines, 10 to 90 degrees two-theta, by angle:
Position (°2θ)	I (rel.)	hkl
25.2	39	2 0 0
26.2	15	1 1 2
31.6	27	1 0 3
31.9	100	2 0 2
35.9	75	2 2 0
38.9	16	0 0 4
40.9	36	2 1 3
51.7	26	4 0 0
54.0	24	2 2 4
62.0	27	4 2 2

Atomic structure:
```
data_Tb2Er2Ga4Sn
_chemical_formula_sum 'Tb4 Er4 Ga8 Sn2'
_cell_length_a 7.0684
_cell_length_b 7.0684
_cell_length_c 9.2600
_cell_angle_alpha 90.00
_cell_angle_beta 90.00
_cell_angle_gamma 90.00
_symmetry_space_group_name_H-M 'I 4/m m m'
_symmetry_Int_Tables_number 139
_symmetry_space_group_name_Hall '-I 4 2'
loop_
_atom_site_label
_atom_site_fract_x
_atom_site_fract_y
_atom_site_fract_z
_atom_site_occupancy
Tb1 0.0000 0.0000 0.1906 1
Er1 0.0000 0.5000 0.2500 1
Ga1 0.2346 0.2346 0.0000 1
Sn1 0.0000 0.0000 0.5000 1
```

***

Record 3
Calculated X-ray diffraction stick pattern of SrEr2Ga6 for Cu Kα, from a cell relaxed with PBE.
No peak broadening, texture or thermal motion is included.

Most intense lines, 10 to 90 degrees two-theta, by angle:
Position (°2θ)	I (rel.)	hkl
13.9	6	1 0 0
24.2	10	1 1 0
32.1	100	1 1 1
42.5	56	3 0 0
49.5	4	2 2 0
54.3	22	2 2 1
61.7	27	3 0 2
71.3	29	1 1 3
77.8	7	3 3 0
86.6	6	2 2 3

Atomic structure:
```
data_SrEr2Ga6
_chemical_formula_sum 'Sr1 Er2 Ga6'
_cell_length_a 7.3650
_cell_length_b 7.3650
_cell_length_c 4.2565
_cell_angle_alpha 90.00
_cell_angle_beta 90.00
_cell_angle_gamma 120.00
_symmetry_space_group_name_H-M 'P 6/m m m'
_symmetry_Int_Tables_number 191
_symmetry_space_group_name_Hall '-P 6 2'
loop_
_atom_site_label
_atom_site_fract_x
_atom_site_fract_y
_atom_site_fract_z
_atom_site_occupancy
Sr1 0.0000 0.0000 0.0000 1
Er1 0.3333 0.6667 0.0000 1
Ga1 0.0000 0.3373 0.5000 1
```

***

Record 4
Calculated X-ray diffraction stick pattern of TbEr3Ga4 for Cu Kα, from a cell relaxed with PBE.
No peak broadening, texture or thermal motion is included.

Most intense lines, 10 to 90 degrees two-theta, by angle:
Position (°2θ)	I (rel.)	hkl
25.0	12	2 0 1
25.2	6	0 2 0
35.8	100	4 0 0
44.2	5	4 2 0
51.4	12	4 0 2
51.6	6	0 4 0
64.2	24	6 2 1
64.4	12	4 4 0
75.8	7	4 4 2
86.6	11	8 0 2

Atomic structure:
```
data_TbEr3Ga4
_chemical_formula_sum 'Tb2 Er6 Ga8'
_cell_length_a 10.0612
_cell_length_b 7.0798
_cell_length_c 5.0304
_cell_angle_alpha 90.00
_cell_angle_beta 90.00
_cell_angle_gamma 90.00
_symmetry_space_group_name_H-M 'P m m a'
_symmetry_Int_Tables_number 51
loop_
_symmetry_equiv_pos_as_xyz
'x,y,z'
'-x,-y,-z'
'-x+1/2,-y,z'
'x+1/2,y,-z'
'x+1/2,-y,-z'
'-x+1/2,y,z'
'-x,y,-z'
'x,-y,z'
loop_
_atom_site_label
_atom_site_fract_x
_atom_site_fract_y
_atom_site_fract_z
_atom_site_occupancy
Tb1 0.0000 0.0000 0.0000 1
Er1 0.0000 0.5000 0.0000 1
Er2 0.2500 0.0000 0.4981 1
Er3 0.2500 0.5000 0.4980 1
Ga1 0.0000 0.2530 0.5000 1
Ga2 0.2500 0.2529 0.9973 1
```

***

Record 5
Calculated X-ray diffraction stick pattern of Tb2Er3Ga2 for Cu Kα, from a cell relaxed with PBE.
No peak broadening, texture or thermal motion is included.

Most intense lines, 10 to 90 degrees two-theta, by angle:
Position (°2θ)	I (rel.)	hkl
28.7	27	1 1 1
30.6	61	2 0 -3
31.5	54	1 1 -2
31.9	100	3 1 -1
32.0	51	2 0 2
33.2	30	3 1 0
34.4	25	3 1 -2
34.9	37	4 0 -3
35.9	47	1 1 2
48.8	27	0 2 0

Atomic structure:
```
data_Tb2Er3Ga2
_chemical_formula_sum 'Tb4 Er6 Ga4'
_cell_length_a 12.8416
_cell_length_b 3.7324
_cell_length_c 8.7776
_cell_angle_alpha 90.00
_cell_angle_beta 114.53
_cell_angle_gamma 90.00
_symmetry_space_group_name_H-M 'C 1 2/m 1'
_symmetry_Int_Tables_number 12
loop_
_symmetry_equiv_pos_as_xyz
'x,y,z'
'-x,-y,-z'
'-x,y,-z'
'x,-y,z'
'x+1/2,y+1/2,z'
'-x+1/2,-y+1/2,-z'
'-x+1/2,y+1/2,-z'
'x+1/2,-y+1/2,z'
loop_
_atom_site_label
_atom_site_fract_x
_atom_site_fract_y
_atom_site_fract_z
_atom_site_occupancy
Tb1 0.1447 0.0000 0.3083 1
Er1 0.0000 0.5000 0.5000 1
Er2 0.1133 0.5000 0.9404 1
Ga1 0.1808 0.0000 0.7197 1
```

***

Record 6
Calculated X-ray diffraction stick pattern of TbErGa for Cu Kα, from a cell relaxed with PBE.
No peak broadening, texture or thermal motion is included.

Most intense lines, 10 to 90 degrees two-theta, by angle:
Position (°2θ)	I (rel.)	hkl
20.7	14	1 0 0
32.2	100	1 0 1
36.3	67	1 1 0
49.3	31	0 2 1
54.8	14	0 1 2
62.7	30	2 1 1
63.4	11	1 1 2
65.2	12	3 0 0
79.1	10	1 2 2
85.9	13	1 3 1

Atomic structure:
```
data_TbErGa
_chemical_formula_sum 'Tb1 Er1 Ga1'
_cell_length_a 4.9549
_cell_length_b 4.9549
_cell_length_c 3.6408
_cell_angle_alpha 90.00
_cell_angle_beta 90.00
_cell_angle_gamma 120.00
_symmetry_space_group_name_H-M 'P 3 m 1'
_symmetry_Int_Tables_number 156
loop_
_symmetry_equiv_pos_as_xyz
'x,y,z'
'-y,x-y,z'
'-x+y,-x,z'
'-y,-x,z'
'-x+y,y,z'
'x,x-y,z'
loop_
_atom_site_label
_atom_site_fract_x
_atom_site_fract_y
_atom_site_fract_z
_atom_site_occupancy
Tb1 0.0000 0.0000 0.0000 1
Er1 0.3333 0.6667 0.5352 1
Ga1 0.6667 0.3333 0.3055 1
```

***

Record 7
Calculated X-ray diffraction stick pattern of Tb3Er2Ga4 for Cu Kα, from a cell relaxed with PBE.
No peak broadening, texture or thermal motion is included.

Most intense lines, 10 to 90 degrees two-theta, by angle:
Position (°2θ)	I (rel.)	hkl
24.9	32	2 0 -2
28.8	49	1 1 2
32.3	100	3 1 0
32.9	38	2 0 3
33.6	26	3 1 -1
35.0	22	4 0 1
35.7	72	1 1 -3
35.8	29	1 1 3
40.8	45	0 2 0
53.3	20	2 2 3

Atomic structure:
```
data_Tb3Er2Ga4
_chemical_formula_sum 'Tb6 Er4 Ga8'
_cell_length_a 10.6760
_cell_length_b 4.4285
_cell_length_c 9.5528
_cell_angle_alpha 90.00
_cell_angle_beta 90.56
_cell_angle_gamma 90.00
_symmetry_space_group_name_H-M 'C 1 2/m 1'
_symmetry_Int_Tables_number 12
loop_
_symmetry_equiv_pos_as_xyz
'x,y,z'
'-x,-y,-z'
'-x,y,-z'
'x,-y,z'
'x+1/2,y+1/2,z'
'-x+1/2,-y+1/2,-z'
'-x+1/2,y+1/2,-z'
'x+1/2,-y+1/2,z'
loop_
_atom_site_label
_atom_site_fract_x
_atom_site_fract_y
_atom_site_fract_z
_atom_site_occupancy
Tb1 0.0000 0.0000 0.0000 1
Tb2 0.1237 0.5000 0.6102 1
Er1 0.1763 0.5000 0.2299 1
Ga1 0.0790 0.0000 0.3940 1
Ga2 0.1934 0.5000 0.9244 1
```

***

Record 8
Calculated X-ray diffraction stick pattern of ErGa3Tc for Cu Kα, from a cell relaxed with PBE.
No peak broadening, texture or thermal motion is included.

Most intense lines, 10 to 90 degrees two-theta, by angle:
Position (°2θ)	I (rel.)	hkl
23.8	39	0 1 1
24.9	28	1 0 0
31.3	68	1 1 0
34.8	69	1 1 1
35.2	43	0 1 2
37.9	59	0 2 0
39.0	100	1 0 2
51.1	25	2 0 0
55.5	70	1 2 2
65.4	23	2 2 0

Atomic structure:
```
data_ErGa3Tc
_chemical_formula_sum 'Er1 Ga3 Tc1'
_cell_length_a 3.5733
_cell_length_b 4.7439
_cell_length_c 6.0517
_cell_angle_alpha 90.00
_cell_angle_beta 90.00
_cell_angle_gamma 90.00
_symmetry_space_group_name_H-M 'P m m m'
_symmetry_Int_Tables_number 47
loop_
_symmetry_equiv_pos_as_xyz
'x,y,z'
'-x,-y,-z'
'-x,-y,z'
'x,y,-z'
'x,-y,-z'
'-x,y,z'
'-x,y,-z'
'x,-y,z'
loop_
_atom_site_label
_atom_site_fract_x
_atom_site_fract_y
_atom_site_fract_z
_atom_site_occupancy
Er1 0.0000 0.0000 0.0000 1
Ga1 0.0000 0.0000 0.5000 1
Ga2 0.5000 0.5000 0.2057 1
Tc1 0.0000 0.5000 0.5000 1
```

***

Record 9
Calculated X-ray diffraction stick pattern of ErGa6Tc2 for Cu Kα, from a cell relaxed with PBE.
No peak broadening, texture or thermal motion is included.

Most intense lines, 10 to 90 degrees two-theta, by angle:
Position (°2θ)	I (rel.)	hkl
29.9	18	0 2 2
32.0	66	1 1 2
37.3	19	0 1 5
37.7	100	1 2 1
40.3	70	1 1 4
42.0	29	0 0 6
45.6	63	0 3 3
51.7	22	1 2 5
52.3	27	2 0 0
71.8	31	2 3 3

Atomic structure:
```
data_ErGa6Tc2
_chemical_formula_sum 'Er2 Ga12 Tc4'
_cell_length_a 3.4990
_cell_length_b 6.7406
_cell_length_c 12.8993
_cell_angle_alpha 90.00
_cell_angle_beta 90.00
_cell_angle_gamma 90.00
_symmetry_space_group_name_H-M 'I m m m'
_symmetry_Int_Tables_number 71
_symmetry_space_group_name_Hall '-I 2 2'
loop_
_atom_site_label
_atom_site_fract_x
_atom_site_fract_y
_atom_site_fract_z
_atom_site_occupancy
Er1 0.0000 0.0000 0.0000 1
Ga1 0.0000 0.1747 0.5000 1
Ga2 0.0000 0.3035 0.3174 1
Tc1 0.0000 0.5000 0.1319 1
```

***

Record 10
Calculated X-ray diffraction stick pattern of ErGa4Tc for Cu Kα, from a cell relaxed with PBE.
No peak broadening, texture or thermal motion is included.

Most intense lines, 10 to 90 degrees two-theta, by angle:
Position (°2θ)	I (rel.)	hkl
33.7	68	2 0 -2
35.6	50	3 1 1
35.8	40	5 1 -1
38.4	53	2 2 1
38.5	57	4 2 -1
39.3	100	4 0 1
39.6	56	6 0 -1
41.4	43	1 3 0
45.9	59	0 2 2
46.1	59	4 2 -2

Atomic structure:
```
data_ErGa4Tc
_chemical_formula_sum 'Er4 Ga16 Tc4'
_cell_length_a 13.6804
_cell_length_b 6.6438
_cell_length_c 5.3218
_cell_angle_alpha 90.00
_cell_angle_beta 112.45
_cell_angle_gamma 90.00
_symmetry_space_group_name_H-M 'C 1 2/m 1'
_symmetry_Int_Tables_number 12
loop_
_symmetry_equiv_pos_as_xyz
'x,y,z'
'-x,-y,-z'
'-x,y,-z'
'x,-y,z'
'x+1/2,y+1/2,z'
'-x+1/2,-y+1/2,-z'
'-x+1/2,y+1/2,-z'
'x+1/2,-y+1/2,z'
loop_
_atom_site_label
_atom_site_fract_x
_atom_site_fract_y
_atom_site_fract_z
_atom_site_occupancy
Er1 0.2198 0.0000 0.2295 1
Ga1 0.0000 0.1793 0.0000 1
Ga2 0.1102 0.1977 0.6128 1
Ga3 0.1780 0.5000 0.1719 1
Tc1 0.0005 0.5000 0.2648 1
```

***

Record 11
Calculated X-ray diffraction stick pattern of Er3Ga8Tc3 for Cu Kα, from a cell relaxed with PBE.
No peak broadening, texture or thermal motion is included.

Most intense lines, 10 to 90 degrees two-theta, by angle:
Position (°2θ)	I (rel.)	hkl
34.6	30	0 2 4
35.5	33	1 3 0
35.6	100	1 2 3
36.0	27	0 3 3
36.9	40	1 1 4
38.4	39	1 3 2
42.0	48	2 0 0
43.6	17	0 0 6
44.6	25	1 4 1
69.9	26	1 4 7

Atomic structure:
```
data_Er3Ga8Tc3
_chemical_formula_sum 'Er6 Ga16 Tc6'
_cell_length_a 4.2986
_cell_length_b 9.3714
_cell_length_c 12.4665
_cell_angle_alpha 90.00
_cell_angle_beta 90.00
_cell_angle_gamma 90.00
_symmetry_space_group_name_H-M 'I m m m'
_symmetry_Int_Tables_number 71
_symmetry_space_group_name_Hall '-I 2 2'
loop_
_atom_site_label
_atom_site_fract_x
_atom_site_fract_y
_atom_site_fract_z
_atom_site_occupancy
Er1 0.0000 0.0000 0.0000 1
Er2 0.0000 0.0000 0.2957 1
Ga1 0.0000 0.2887 0.1354 1
Ga2 0.0000 0.3631 0.3506 1
Tc1 0.0000 0.1666 0.5000 1
Tc2 0.0000 0.5000 0.0000 1
```

***

Record 12
Calculated X-ray diffraction stick pattern of ErThGaTc for Cu Kα, from a cell relaxed with PBE.
No peak broadening, texture or thermal motion is included.

Most intense lines, 10 to 90 degrees two-theta, by angle:
Position (°2θ)	I (rel.)	hkl
27.3	29	1 0 2
31.2	36	0 0 4
32.1	41	0 1 3
32.4	100	1 1 1
38.8	16	1 0 4
39.5	56	1 1 3
44.4	23	0 2 0
45.7	21	2 0 0
57.0	17	2 1 3
61.0	15	0 1 7

Atomic structure:
```
data_ErThGaTc
_chemical_formula_sum 'Er2 Th2 Ga2 Tc2'
_cell_length_a 3.9678
_cell_length_b 4.0818
_cell_length_c 11.4519
_cell_angle_alpha 90.00
_cell_angle_beta 90.00
_cell_angle_gamma 90.00
_symmetry_space_group_name_H-M 'A m m 2'
_symmetry_Int_Tables_number 38
loop_
_symmetry_equiv_pos_as_xyz
'x,y,z'
'-x,-y,z'
'-x,y,z'
'x,-y,z'
'x,y+1/2,z+1/2'
'-x,-y+1/2,z+1/2'
'-x,y+1/2,z+1/2'
'x,-y+1/2,z+1/2'
loop_
_atom_site_label
_atom_site_fract_x
_atom_site_fract_y
_atom_site_fract_z
_atom_site_occupancy
Er1 0.0000 0.0000 0.0000 1
Th1 0.5000 0.0000 0.7226 1
Ga1 0.5000 0.0000 0.4277 1
Tc1 0.0000 0.0000 0.2711 1
```

***

Record 13
Calculated X-ray diffraction stick pattern of Er10Ga3Te3 for Cu Kα, from a cell relaxed with PBE.
No peak broadening, texture or thermal motion is included.

Most intense lines, 10 to 90 degrees two-theta, by angle:
Position (°2θ)	I (rel.)	hkl
30.8	26	1 0 2
31.4	38	2 1 0
34.5	100	2 1 1
35.2	79	1 1 2
35.7	40	3 0 0
51.0	22	2 2 2
54.3	28	2 1 3
56.9	18	4 0 2
69.0	15	5 0 2
70.6	16	3 0 4

Atomic structure:
```
data_Er10Ga3Te3
_chemical_formula_sum 'Er10 Ga3 Te3'
_cell_length_a 8.7148
_cell_length_b 8.7148
_cell_length_c 6.2941
_cell_angle_alpha 90.00
_cell_angle_beta 90.00
_cell_angle_gamma 120.00
_symmetry_space_group_name_H-M 'P -6 2 m'
_symmetry_Int_Tables_number 189
_symmetry_space_group_name_Hall 'P -6 -2'
loop_
_atom_site_label
_atom_site_fract_x
_atom_site_fract_y
_atom_site_fract_z
_atom_site_occupancy
Er1 0.0000 0.2416 0.0000 1
Er2 0.0000 0.7605 0.5000 1
Er3 0.3333 0.6667 0.2582 1
Ga1 0.0000 0.3911 0.5000 1
Te1 0.0000 0.6066 0.0000 1
```

***

Record 14
Calculated X-ray diffraction stick pattern of Er6Ga3Te for Cu Kα, from a cell relaxed with PBE.
No peak broadening, texture or thermal motion is included.

Most intense lines, 10 to 90 degrees two-theta, by angle:
Position (°2θ)	I (rel.)	hkl
24.3	27	0 0 2
29.1	50	3 1 1
32.1	49	1 3 2
32.4	87	2 2 2
33.0	100	2 4 1
34.3	60	4 0 0
35.3	34	0 4 2
36.1	24	3 1 2
45.8	33	1 7 0
54.7	22	2 2 4

Atomic structure:
```
data_Er6Ga3Te
_chemical_formula_sum 'Er24 Ga12 Te4'
_cell_length_a 10.4464
_cell_length_b 14.1054
_cell_length_c 7.3297
_cell_angle_alpha 90.00
_cell_angle_beta 90.00
_cell_angle_gamma 90.00
_symmetry_space_group_name_H-M 'C m c 21'
_symmetry_Int_Tables_number 36
loop_
_symmetry_equiv_pos_as_xyz
'x,y,z'
'-x,-y,z+1/2'
'-x,y,z'
'x,-y,z+1/2'
'x+1/2,y+1/2,z'
'-x+1/2,-y+1/2,z+1/2'
'-x+1/2,y+1/2,z'
'x+1/2,-y+1/2,z+1/2'
loop_
_atom_site_label
_atom_site_fract_x
_atom_site_fract_y
_atom_site_fract_z
_atom_site_occupancy
Er1 0.0000 0.0150 0.0000 1
Er2 0.0000 0.2854 0.9095 1
Er3 0.1913 0.2914 0.4989 1
Er4 0.2060 0.4618 0.8653 1
Ga1 0.0000 0.4434 0.5951 1
Ga2 0.1453 0.1222 0.7193 1
Te1 0.0000 0.1733 0.2672 1
```